For Cr2BiMoOsRh, a DFT-relaxed cell (PBE, Alexandria) gives the calculated powder diffraction line list in this record (Cu Kα).
Kinematic intensities with the Lorentz-polarization factor, no thermal factor.

Structure:
a = 9.200 Å, b = 3.035 Å, c = 7.234 Å
α = 90.00°, β = 107.36°, γ = 90.00°
Space group Cm (No. 8)
One atom of each set of equivalent atoms:
Cr (0.000, 0.000, 0.000) [2 per cell]
Cr (0.040, 0.500, 0.764) [2 per cell]
Bi (0.044, 0.000, 0.404) [2 per cell]
Mo (0.275, 0.000, 0.902) [2 per cell]
Os (0.309, 0.500, 0.615) [2 per cell]
Rh (0.232, 0.500, 0.190) [2 per cell]

Main lines, by angle (2θ from 15° to 90°):
- 2θ 27.13, rel. 333, (2 0 1)
- 2θ 27.70, rel. 321, (2 0 -2)
- 2θ 31.18, rel. 489, (1 1 0)
- 2θ 35.03, rel. 436, (1 1 1)
- 2θ 37.64, rel. 354, (2 0 2)
- 2θ 38.36, rel. 769, (2 0 -3)
- 2θ 38.81, rel. 321, (1 1 -2)
- 2θ 41.12, rel. 472, (4 0 0)
- 2θ 42.07, rel. 894, (3 1 -1)
- 2θ 42.91, rel. 1000, (1 1 2)
- 2θ 45.36, rel. 303, (3 1 -2)
- 2θ 74.44, rel. 368, (2 2 -3)